(1)
For Tl3GeSe4, the PBE geometry in Alexandria gives the simulated PXRD pattern in this record (λ = 1.5418 Å (Cu Kα)).
Lines closer than 0.1° are merged.

Largest 10 diffraction maxima, low angle first, 10° ≤ 2θ ≤ 90°:
2θ (°)	I_rel
19.87	53
23.25	91
24.20	99
27.55	100
32.55	52
36.35	52
38.92	61
40.38	30
43.15	44
48.35	43

Structural model:
```
data_Tl3GeSe4
_chemical_formula_sum 'Tl6 Ge2 Se8'
_cell_length_a 11.005
_cell_length_b 7.652
_cell_length_c 6.475
_cell_angle_alpha 90.00
_cell_angle_beta 90.00
_cell_angle_gamma 90.00
_symmetry_space_group_name_H-M 'P 1'
_symmetry_Int_Tables_number 1
loop_
_symmetry_equiv_pos_as_xyz
'x,y,z'
loop_
_atom_site_label
_atom_site_type_symbol
_atom_site_fract_x
_atom_site_fract_y
_atom_site_fract_z
Tl1 Tl 0.000 0.228 0.000
Tl2 Tl 0.246 0.302 0.500
Tl3 Tl 0.254 0.698 0.000
Tl4 Tl 0.500 0.772 0.500
Tl5 Tl 0.746 0.698 0.000
Tl6 Tl 0.754 0.302 0.500
Ge1 Ge 0.000 0.825 0.398
Ge2 Ge 0.500 0.175 0.898
Se1 Se 0.000 0.125 0.510
Se2 Se 0.000 0.832 0.027
Se3 Se 0.189 0.697 0.505
Se4 Se 0.311 0.303 0.005
Se5 Se 0.500 0.168 0.527
Se6 Se 0.500 0.875 0.010
Se7 Se 0.689 0.303 0.005
Se8 Se 0.811 0.697 0.505
```



(2)
For Tl2Ge2Se3, the PBE geometry in Alexandria gives the simulated PXRD pattern in this record (λ = 1.5418 Å (Cu Kα)).
Lines closer than 0.1° are merged.

Largest 10 diffraction maxima, low angle first, 10° ≤ 2θ ≤ 90°:
2θ (°)	I_rel
18.68	14
22.56	28
25.93	25
28.67	57
31.02	100
42.56	18
42.69	18
42.87	36
43.94	22
44.94	15

Structural model:
```
data_Tl2Ge2Se3
_chemical_formula_sum 'Tl2 Ge2 Se3'
_cell_length_a 4.121
_cell_length_b 7.090
_cell_length_c 7.446
_cell_angle_alpha 95.62
_cell_angle_beta 90.18
_cell_angle_gamma 106.89
_symmetry_space_group_name_H-M 'P 1'
_symmetry_Int_Tables_number 1
loop_
_symmetry_equiv_pos_as_xyz
'x,y,z'
loop_
_atom_site_label
_atom_site_type_symbol
_atom_site_fract_x
_atom_site_fract_y
_atom_site_fract_z
Tl1 Tl 0.113 0.221 0.384
Tl2 Tl 0.887 0.779 0.616
Ge1 Ge 0.367 0.734 0.084
Ge2 Ge 0.633 0.266 0.916
Se1 Se 0.000 0.000 0.000
Se2 Se 0.258 0.518 0.785
Se3 Se 0.742 0.482 0.215
```



(3)
For Tl4GeSe4, the PBE geometry in Alexandria gives the simulated PXRD pattern in this record (λ = 1.5418 Å (Cu Kα)).
Lines closer than 0.1° are merged.

Largest 10 diffraction maxima, low angle first, 10° ≤ 2θ ≤ 90°:
2θ (°)	I_rel
21.47	40
24.78	45
27.01	100
27.30	49
27.77	56
28.62	61
28.98	52
29.83	40
29.96	75
42.56	64

Structural model:
```
data_Tl4GeSe4
_chemical_formula_sum 'Tl16 Ge4 Se16'
_cell_length_a 7.166
_cell_length_b 7.166
_cell_length_c 25.235
_cell_angle_alpha 98.68
_cell_angle_beta 98.68
_cell_angle_gamma 63.18
_symmetry_space_group_name_H-M 'P 1'
_symmetry_Int_Tables_number 1
loop_
_symmetry_equiv_pos_as_xyz
'x,y,z'
loop_
_atom_site_label
_atom_site_type_symbol
_atom_site_fract_x
_atom_site_fract_y
_atom_site_fract_z
Tl1 Tl 0.000 0.000 0.000
Tl2 Tl 0.000 0.000 0.500
Tl3 Tl 0.054 0.343 0.663
Tl4 Tl 0.097 0.684 0.175
Tl5 Tl 0.179 0.821 0.750
Tl6 Tl 0.277 0.351 0.500
Tl7 Tl 0.316 0.903 0.325
Tl8 Tl 0.343 0.054 0.163
Tl9 Tl 0.351 0.277 0.000
Tl10 Tl 0.649 0.723 0.000
Tl11 Tl 0.657 0.946 0.837
Tl12 Tl 0.684 0.097 0.675
Tl13 Tl 0.723 0.649 0.500
Tl14 Tl 0.821 0.179 0.250
Tl15 Tl 0.903 0.316 0.825
Tl16 Tl 0.946 0.657 0.337
Ge1 Ge 0.310 0.560 0.876
Ge2 Ge 0.440 0.690 0.624
Ge3 Ge 0.560 0.310 0.376
Ge4 Ge 0.690 0.440 0.124
Se1 Se 0.019 0.588 0.918
Se2 Se 0.094 0.710 0.617
Se3 Se 0.290 0.906 0.883
Se4 Se 0.303 0.391 0.787
Se5 Se 0.333 0.634 0.424
Se6 Se 0.366 0.667 0.076
Se7 Se 0.391 0.303 0.287
Se8 Se 0.412 0.981 0.582
Se9 Se 0.588 0.019 0.418
Se10 Se 0.609 0.697 0.713
Se11 Se 0.634 0.333 0.924
Se12 Se 0.667 0.366 0.576
Se13 Se 0.697 0.609 0.213
Se14 Se 0.710 0.094 0.117
Se15 Se 0.906 0.290 0.383
Se16 Se 0.981 0.412 0.082
```



(4)
For TlGe2Se4, the PBE geometry in Alexandria gives the simulated PXRD pattern in this record (λ = 1.5418 Å (Cu Kα)).
Lines closer than 0.1° are merged.

Largest 10 diffraction maxima, low angle first, 10° ≤ 2θ ≤ 90°:
2θ (°)	I_rel
15.96	58
21.60	29
22.09	53
27.99	45
28.12	45
30.62	27
30.85	26
35.81	100
49.68	21
53.11	36

Structural model:
```
data_TlGe2Se4
_chemical_formula_sum 'Tl2 Ge4 Se8'
_cell_length_a 6.603
_cell_length_b 6.603
_cell_length_c 11.678
_cell_angle_alpha 90.00
_cell_angle_beta 90.00
_cell_angle_gamma 122.77
_symmetry_space_group_name_H-M 'P 1'
_symmetry_Int_Tables_number 1
loop_
_symmetry_equiv_pos_as_xyz
'x,y,z'
loop_
_atom_site_label
_atom_site_type_symbol
_atom_site_fract_x
_atom_site_fract_y
_atom_site_fract_z
Tl1 Tl 0.000 0.000 0.250
Tl2 Tl 0.000 0.000 0.750
Ge1 Ge 0.253 0.746 0.500
Ge2 Ge 0.254 0.747 0.000
Ge3 Ge 0.746 0.253 0.000
Ge4 Ge 0.747 0.254 0.500
Se1 Se 0.000 0.500 0.337
Se2 Se 0.000 0.500 0.663
Se3 Se 0.158 0.330 0.000
Se4 Se 0.330 0.158 0.500
Se5 Se 0.500 0.000 0.163
Se6 Se 0.500 0.000 0.837
Se7 Se 0.670 0.842 0.500
Se8 Se 0.842 0.670 0.000
```